No. 1
Starting from a structure optimized by DFT (PBE), the powder X-ray diffraction pattern of CdIn2Ru was computed for a wavelength of 1.5418 Å.

Structural model:
abc: 3.472 3.669 6.185
angles: 90.00 90.11 90.00
Space group P2/m (No. 10)
Symmetry-distinct sites (fractional):
1 Cd 0.000 0.000 0.000
2 In 0.499 0.500 0.269
3 Ru 0.000 0.000 0.500

Largest 10 diffraction maxima, low angle first, 10 to 90 degrees two-theta:
two_theta	I (rel.)	h k l
35.6	100.0	1 1 0
38.1	80.5	0 1 2
39.0	75.1	1 0 2
49.7	18.9	0 2 0
52.7	15.7	2 0 0
64.9	31.9	1 2 2
66.8	14.6	2 1 -2
66.9	14.6	2 1 2
71.5	10.8	1 1 -4
83.9	11.6	1 3 0



No. 2
Starting from a structure optimized by DFT (PBE), the powder X-ray diffraction pattern of Cd2InS3 was computed for a wavelength of 1.5418 Å.

Structural model:
abc: 4.439 12.629 5.891
angles: 90.00 90.00 90.00
Space group Imm2 (No. 44)
Symmetry-distinct sites (fractional):
1 Cd 0.000 0.168 0.000
2 In 0.000 0.500 0.007
3 S 0.000 0.000 0.746
4 S 0.000 0.332 0.735

Largest 10 diffraction maxima, low angle first, 10 to 90 degrees two-theta:
two_theta	I (rel.)	h k l
25.1	99.7	1 0 1
26.0	100.0	0 3 1
29.2	32.5	1 3 0
40.6	21.6	2 0 0
42.6	74.2	1 3 2
43.0	18.2	0 6 0
48.9	33.9	2 3 1
50.4	28.3	1 6 1
50.8	16.2	1 0 3
68.7	18.4	1 6 3



No. 3
Starting from a structure optimized by DFT (PBE), the powder X-ray diffraction pattern of CdIn2SeS3 was computed for a wavelength of 1.5418 Å.

Structural model:
abc: 7.869 7.878 11.173
angles: 90.00 90.00 90.00
Space group Imm2 (No. 44)
Symmetry-distinct sites (fractional):
1 Cd 0.000 0.000 0.000
2 Cd 0.000 0.500 0.230
3 In 0.000 0.248 0.604
4 In 0.246 0.000 0.358
5 Se 0.000 0.262 0.850
6 S 0.000 0.231 0.366
7 S 0.226 0.500 0.620
8 S 0.230 0.000 0.596

Largest 10 diffraction maxima, low angle first, 10 to 90 degrees two-theta:
two_theta	I (rel.)	h k l
13.8	13.5	1 0 1
22.6	28.1	2 0 0
26.5	100.0	0 1 3
32.0	12.2	0 0 4
32.2	23.0	2 2 0
42.0	16.9	1 0 5
42.2	29.6	3 2 1
46.0	62.1	0 4 0
46.1	12.5	4 0 0
85.4	15.1	2 6 4



No. 4
Starting from a structure optimized by DFT (PBE), the powder X-ray diffraction pattern of Cd4InSb was computed for a wavelength of 1.5418 Å.

Structural model:
abc: 6.598 7.217 14.199
angles: 90.00 90.00 90.00
Space group Imma (No. 74)
Symmetry-distinct sites (fractional):
1 Cd 0.239 0.000 0.000
2 Cd 0.250 0.007 0.250
3 In 0.000 0.250 0.127
4 Sb 0.000 0.250 0.623

Largest 10 diffraction maxima, low angle first, 10 to 90 degrees two-theta:
two_theta	I (rel.)	h k l
22.1	78.4	1 1 2
35.5	100.0	0 2 4
36.9	89.0	2 2 0
37.2	87.3	2 0 4
41.9	14.5	1 3 2
50.6	17.5	0 4 0
51.5	16.7	0 0 8
64.4	32.6	2 4 4
65.0	31.9	2 2 8
67.8	31.0	4 2 4



No. 5
Starting from a structure optimized by DFT (PBE), the powder X-ray diffraction pattern of CdInSb2 was computed for a wavelength of 1.5418 Å.

Structural model:
abc: 4.547 4.547 6.882
angles: 90.00 90.00 90.00
Space group P-4m2 (No. 115)
Symmetry-distinct sites (fractional):
1 Cd 0.000 0.000 0.000
2 In 0.500 0.500 0.500
3 Sb 0.000 0.500 0.251

Largest 10 diffraction maxima, low angle first, 10 to 90 degrees two-theta:
two_theta	I (rel.)	h k l
23.5	100.0	1 0 1
38.3	55.1	1 1 2
39.6	25.0	2 0 0
44.2	18.2	1 0 3
46.6	31.2	2 1 1
57.3	8.3	2 2 0
60.9	13.7	2 1 3
68.4	9.6	2 0 4
71.1	17.1	3 1 2
76.9	6.9	3 2 1



No. 6
Starting from a structure optimized by DFT (PBE), the powder X-ray diffraction pattern of CdInSb2 was computed for a wavelength of 1.5418 Å.

Structural model:
abc: 3.175 4.137 8.679
angles: 90.00 99.04 90.00
Space group Pm (No. 6)
Symmetry-distinct sites (fractional):
1 Cd 0.000 0.000 0.000
2 In 0.407 0.500 0.794
3 Sb 0.158 0.500 0.266
4 Sb 0.256 0.000 0.518

Largest 10 diffraction maxima, low angle first, 10 to 90 degrees two-theta:
two_theta	I (rel.)	h k l
28.5	23.5	1 0 0
28.7	22.5	1 0 -1
30.0	100.0	0 1 2
38.8	28.6	1 1 1
39.4	27.9	1 1 -2
42.2	17.4	0 0 4
43.8	18.2	0 2 0
46.2	11.0	1 0 3
62.4	10.6	0 2 4
71.9	14.6	0 3 2



No. 7
Starting from a structure optimized by DFT (PBE), the powder X-ray diffraction pattern of CdIn2Sb was computed for a wavelength of 1.5418 Å.

Structural model:
abc: 11.139 3.252 5.922
angles: 90.00 98.26 90.00
Space group C2/m (No. 12)
Symmetry-distinct sites (fractional):
1 Cd 0.000 0.000 0.000
2 In 0.247 0.500 0.244
3 Sb 0.000 0.500 0.500

Largest 10 diffraction maxima, low angle first, 10 to 90 degrees two-theta:
two_theta	I (rel.)	h k l
32.5	100.0	4 0 0
33.1	95.3	1 1 1
36.7	35.6	2 0 2
38.7	61.9	3 1 -1
54.4	44.4	1 1 -3
63.5	13.6	0 0 4
63.9	13.4	3 1 3
65.7	24.7	5 1 -3
66.8	23.5	4 2 0
68.0	11.1	4 0 -4



No. 8
Starting from a structure optimized by DFT (PBE), the powder X-ray diffraction pattern of CdIn2SbSe2 was computed for a wavelength of 1.5418 Å.

Structural model:
abc: 13.355 7.832 7.712
angles: 90.00 90.00 90.00
Space group Cmc2_1 (No. 36)
Symmetry-distinct sites (fractional):
1 Cd 0.000 0.188 0.000
2 In 0.164 0.325 0.515
3 Sb 0.000 0.148 0.364
4 Se 0.172 0.347 0.879

Largest 10 diffraction maxima, low angle first, 10 to 90 degrees two-theta:
two_theta	I (rel.)	h k l
22.7	27.0	0 2 0
23.0	100.0	0 0 2
25.5	21.6	0 2 1
25.8	47.7	3 1 1
40.0	46.3	3 3 0
40.5	24.0	6 0 0
42.0	28.9	0 2 3
42.2	58.3	3 1 3
46.7	24.9	3 3 2
59.8	20.1	6 2 3